Diffraction record for La2In8Pd. The PXRD pattern is theoretical, not measured: it uses a cell relaxed with GGA-PBE and Cu Kα.

Cell and atoms:
```
data_La2In8Pd
_space_group_name_H-M_alt 'P 4/m m m'
_space_group_IT_number 123
_space_group_name_Hall '-P 4 2'
_cell_length_a 4.789
_cell_length_b 4.789
_cell_length_c 12.442
_cell_angle_alpha 90.00
_cell_angle_beta 90.00
_cell_angle_gamma 90.00
loop_
_atom_site_label
_atom_site_type_symbol
_atom_site_fract_x
_atom_site_fract_y
_atom_site_fract_z
La1 La 0.000 0.000 0.191
In1 In 0.000 0.500 0.000
In2 In 0.000 0.500 0.378
In3 In 0.500 0.500 0.193
Pd1 Pd 0.000 0.000 0.500
```

Top 12 peaks for 2θ = 10–90°, sorted by position:
hkl 1 1 2, d 2.974, 30.0 deg, I 31.1; hkl 1 1 3, d 2.623, 34.2 deg, I 100.0; hkl 0 0 5, d 2.488, 36.1 deg, I 16.7; hkl 2 0 0, d 2.394, 37.6 deg, I 54.6; hkl 1 1 4, d 2.291, 39.3 deg, I 8.8; hkl 2 0 5, d 1.725, 53.1 deg, I 21.5; hkl 2 2 0, d 1.693, 54.2 deg, I 18.5; hkl 3 1 2, d 1.471, 63.2 deg, I 7.2; hkl 3 1 3, d 1.422, 65.6 deg, I 28.8; hkl 1 1 8, d 1.413, 66.1 deg, I 13.5; hkl 2 2 5, d 1.400, 66.8 deg, I 10.6; hkl 4 0 0, d 1.197, 80.2 deg, I 6.5



Diffraction record for BaCu2S2. The PXRD pattern is theoretical, not measured: it uses a cell relaxed with GGA-PBE and Cu Kα.

Cell and atoms:
```
data_BaCu2S2
_space_group_name_H-M_alt 'P n m a'
_space_group_IT_number 62
_space_group_name_Hall '-P 2ac 2n'
_cell_length_a 9.280
_cell_length_b 4.033
_cell_length_c 10.383
_cell_angle_alpha 90.00
_cell_angle_beta 90.00
_cell_angle_gamma 90.00
loop_
_atom_site_label
_atom_site_type_symbol
_atom_site_fract_x
_atom_site_fract_y
_atom_site_fract_z
Ba1 Ba 0.240 0.250 0.178
Cu1 Cu 0.057 0.250 0.889
Cu2 Cu 0.082 0.250 0.456
S1 S 0.018 0.750 0.331
S2 S 0.160 0.750 0.961
```

Top 12 peaks for 2θ = 10–90°, sorted by position:
hkl 0 1 1, d 3.760, 23.7 deg, I 15.8; hkl 2 0 2, d 3.460, 25.8 deg, I 20.4; hkl 2 1 1, d 2.921, 30.6 deg, I 100.0; hkl 3 0 2, d 2.657, 33.7 deg, I 56.5; hkl 1 1 3, d 2.527, 35.5 deg, I 78.2; hkl 1 0 4, d 2.500, 35.9 deg, I 37.4; hkl 0 2 0, d 2.017, 44.9 deg, I 31.4; hkl 2 1 5, d 1.715, 53.4 deg, I 15.8; hkl 3 2 2, d 1.607, 57.4 deg, I 23.3; hkl 3 1 5, d 1.585, 58.2 deg, I 13.7; hkl 1 2 4, d 1.570, 58.8 deg, I 17.3; hkl 5 1 3, d 1.516, 61.1 deg, I 13.6